No. 1
Theoretical X-ray powder pattern
Compound: Rb2PdS8O26
Radiation: CuKα
Structure: a structure optimized by DFT (GGA-PBE)
Kinematic intensities with the Lorentz-polarization factor, no thermal factor.

Structural model:
a b c (Å): 7.7847 9.1251 9.3301
angles (deg): 76.80 89.58 72.31
Positions (direct):
Rb  0.1275  0.2544  0.3590
Rb  0.8725  0.7456  0.6410
Pd  0.5000  0.0000  0.0000
S  0.1407  0.6870  0.0335
S  0.2351  0.7598  0.3089
S  0.3305  0.8395  0.7986
S  0.3699  0.3181  0.7356
S  0.6301  0.6819  0.2644
S  0.6695  0.1605  0.2014
S  0.7649  0.2402  0.6911
S  0.8593  0.3130  0.9665
O  0.0229  0.2286  0.0558
O  0.1246  0.6771  0.3934
O  0.1586  0.8103  0.1342
O  0.1697  0.5330  0.1265
O  0.1819  0.8733  0.6935
O  0.2470  0.9057  0.3320
O  0.2505  0.4761  0.7171
O  0.3018  0.9681  0.8795
O  0.3122  0.6785  0.9410
O  0.3522  0.2242  0.6357
O  0.4098  0.2355  0.8947
O  0.4254  0.6344  0.3108
O  0.4881  0.2276  0.2377
O  0.5119  0.7724  0.7623
O  0.5746  0.3656  0.6892
O  0.5902  0.7645  0.1053
O  0.6478  0.7758  0.3643
O  0.6878  0.3215  0.0590
O  0.6982  0.0319  0.1205
O  0.7495  0.5239  0.2829
O  0.7530  0.0943  0.6680
O  0.8181  0.1267  0.3065
O  0.8303  0.4670  0.8735
O  0.8414  0.1897  0.8658
O  0.8754  0.3229  0.6066
O  0.9771  0.7714  0.9442

Peak list (6 most intense, 10° ≤ 2θ ≤ 90°, in order of rising 2θ)
d_spacing  2θ (°)  I/Imax
4.653  19.1  94
4.222  21.0  62
3.602  24.7  39
3.546  25.1  47
3.512  25.4  100
3.485  25.6  85

No. 2
Theoretical X-ray powder pattern
Compound: Rb2SiPdO4
Radiation: CuKα
Structure: a structure optimized by DFT (GGA-PBE)
Kinematic intensities with the Lorentz-polarization factor, no thermal factor.

Structural model:
a b c (Å): 11.5332 10.0804 6.8529
angles (deg): 83.53 60.28 36.19
Positions (direct):
Rb  0.0522  0.0522  0.6978
Rb  0.3022  0.3022  0.9478
Rb  0.6978  0.6978  0.0522
Rb  0.9478  0.9478  0.3022
Si  0.3750  0.3750  0.3750
Si  0.6250  0.6250  0.6250
Pd  0.1250  0.1250  0.1250
Pd  0.8750  0.8750  0.8750
O  0.0571  0.6328  0.5156
O  0.2944  0.5156  0.6328
O  0.3672  0.9429  0.7056
O  0.4844  0.7056  0.9429
O  0.5156  0.2944  0.0571
O  0.6328  0.0571  0.2944
O  0.7056  0.4844  0.3672
O  0.9429  0.3672  0.4844

Peak list (6 most intense, 10° ≤ 2θ ≤ 90°, in order of rising 2θ)
d_spacing  2θ (°)  I/Imax
4.928  18.0  67
3.130  28.5  47
2.870  31.2  100
2.548  35.2  61
2.531  35.5  50
1.750  52.3  45